# 1
Structure and simulated X-ray diffraction stick pattern of Mg2BiPd6 (a structure optimized by DFT (PBE); Cu Kα).
No peak broadening, texture or thermal motion is included.

Largest 10 diffraction maxima, by intensity, 2θ = 10–80°:
d_spacing, two_theta, I/Imax
2.200, 41.02, 100
2.194, 41.13, 99
2.114, 42.77, 46
2.055, 44.07, 42
3.488, 25.54, 33
3.298, 27.04, 28
3.560, 25.02, 27
5.852, 15.14, 24
6.343, 13.96, 24
2.954, 30.25, 23

```
data_Mg2BiPd6
_chemical_formula_sum 'Mg4 Bi2 Pd12'
_cell_length_a 13.316
_cell_length_b 6.595
_cell_length_c 4.110
_cell_angle_alpha 90.00
_cell_angle_beta 107.70
_cell_angle_gamma 90.00
_symmetry_space_group_name_H-M 'C 1 2/m 1'
_symmetry_Int_Tables_number 12
loop_
_symmetry_equiv_pos_as_xyz
'x,y,z'
'-x,-y,-z'
'-x,y,-z'
'x,-y,z'
'x+1/2,y+1/2,z'
'-x+1/2,-y+1/2,-z'
'-x+1/2,y+1/2,-z'
'x+1/2,-y+1/2,z'
loop_
_atom_site_label
_atom_site_fract_x
_atom_site_fract_y
_atom_site_fract_z
_atom_site_occupancy
Mg1 0.175 0.000 0.176 1
Bi1 0.000 0.500 0.500 1
Pd1 0.000 0.222 0.000 1
Pd2 0.168 0.242 0.669 1
```

***

# 2
Structure and simulated X-ray diffraction stick pattern of ZnCo3Ge3 (a structure optimized by DFT (PBE); Cu Kα).
No peak broadening, texture or thermal motion is included.

Largest 10 diffraction maxima, by intensity, 2θ = 10–80°:
d_spacing, two_theta, I/Imax
2.054, 44.09, 100
2.001, 45.32, 92
1.433, 65.08, 29
2.867, 31.20, 14
4.108, 21.63, 13
4.002, 22.21, 9
2.351, 38.29, 4
1.670, 55.00, 3
2.372, 37.93, 3
1.296, 73.03, 3

```
data_ZnCo3Ge3
_chemical_formula_sum 'Zn3 Co9 Ge9'
_cell_length_a 8.2163
_cell_length_b 8.2163
_cell_length_c 4.8402
_cell_angle_alpha 90.00
_cell_angle_beta 90.00
_cell_angle_gamma 120.00
_symmetry_space_group_name_H-M 'R 3 m'
_symmetry_Int_Tables_number 160
_symmetry_space_group_name_Hall 'R 3 -2"'
loop_
_atom_site_label
_atom_site_fract_x
_atom_site_fract_y
_atom_site_fract_z
_atom_site_occupancy
Zn1 0.0000 0.0000 0.0000 1
Co1 0.0001 0.5001 0.4989 1
Ge1 0.9999 0.4999 0.9990 1
```

***

# 3
Structure and simulated X-ray diffraction stick pattern of KNi (a structure optimized by DFT (PBE); Cu Kα).
No peak broadening, texture or thermal motion is included.

Largest 10 diffraction maxima, by intensity, 2θ = 10–80°:
d_spacing, two_theta, I/Imax
5.532, 16.02, 100
3.022, 29.56, 73
3.054, 29.24, 44
6.872, 12.88, 44
2.420, 37.15, 38
1.529, 60.55, 30
3.067, 29.11, 27
1.705, 53.77, 24
2.065, 43.85, 23
1.773, 51.54, 22

```
data_KNi
_chemical_formula_sum 'K6 Ni6'
_cell_length_a 13.744
_cell_length_b 4.129
_cell_length_c 6.043
_cell_angle_alpha 90.00
_cell_angle_beta 90.00
_cell_angle_gamma 90.00
_symmetry_space_group_name_H-M 'P m n 21'
_symmetry_Int_Tables_number 31
loop_
_symmetry_equiv_pos_as_xyz
'x,y,z'
'-x+1/2,-y,z+1/2'
'-x,y,z'
'x+1/2,-y,z+1/2'
loop_
_atom_site_label
_atom_site_fract_x
_atom_site_fract_y
_atom_site_fract_z
_atom_site_occupancy
K1 0.000 0.241 0.000 1
K2 0.229 0.745 0.988 1
Ni1 0.000 0.260 0.499 1
Ni2 0.083 0.759 0.495 1
```

***

# 4
Structure and simulated X-ray diffraction stick pattern of CeP2Ir (a structure optimized by DFT (PBE); Cu Kα).
No peak broadening, texture or thermal motion is included.

Largest 10 diffraction maxima, by intensity, 2θ = 10–80°:
d_spacing, two_theta, I/Imax
2.601, 34.48, 100
3.128, 28.53, 81
1.958, 46.39, 45
1.740, 52.60, 26
1.585, 58.19, 26
2.703, 33.14, 21
1.564, 59.06, 21
1.222, 78.23, 19
1.659, 55.37, 13
1.463, 63.59, 12

```
data_CeP2Ir
_chemical_formula_sum 'Ce3 P6 Ir3'
_cell_length_a 3.9150
_cell_length_b 3.9150
_cell_length_c 16.2186
_cell_angle_alpha 90.00
_cell_angle_beta 90.00
_cell_angle_gamma 120.00
_symmetry_space_group_name_H-M 'R -3 m'
_symmetry_Int_Tables_number 166
_symmetry_space_group_name_Hall '-R 3 2"'
loop_
_atom_site_label
_atom_site_fract_x
_atom_site_fract_y
_atom_site_fract_z
_atom_site_occupancy
Ce1 0.0000 0.0000 0.0000 1
P1 0.0000 0.0000 0.2277 1
Ir1 0.0000 0.0000 0.5000 1
```

***

# 5
Structure and simulated X-ray diffraction stick pattern of GaSnS2 (a structure optimized by DFT (PBE); Cu Kα).
No peak broadening, texture or thermal motion is included.

Largest 10 diffraction maxima, by intensity, 2θ = 10–80°:
d_spacing, two_theta, I/Imax
1.954, 46.47, 100
3.932, 22.61, 90
2.747, 32.59, 77
2.780, 32.20, 55
1.758, 52.01, 31
1.386, 67.59, 22
3.073, 29.06, 19
1.240, 76.85, 19
2.487, 36.12, 14
1.374, 68.28, 13

```
data_GaSnS2
_chemical_formula_sum 'Ga4 Sn4 S8'
_cell_length_a 7.864
_cell_length_b 7.864
_cell_length_c 6.320
_cell_angle_alpha 90.00
_cell_angle_beta 90.00
_cell_angle_gamma 90.00
_symmetry_space_group_name_H-M 'I 4/m c m'
_symmetry_Int_Tables_number 140
_symmetry_space_group_name_Hall '-I 4 2c'
loop_
_atom_site_label
_atom_site_fract_x
_atom_site_fract_y
_atom_site_fract_z
_atom_site_occupancy
Ga1 0.000 0.500 0.250 1
Sn1 0.000 0.000 0.000 1
S1 0.156 0.344 0.000 1
```

***

# 6
Structure and simulated X-ray diffraction stick pattern of LaZr2 (a structure optimized by DFT (PBE); Cu Kα).
No peak broadening, texture or thermal motion is included.

Largest 10 diffraction maxima, by intensity, 2θ = 10–80°:
d_spacing, two_theta, I/Imax
2.738, 32.71, 100
2.714, 33.00, 99
2.337, 38.52, 64
1.678, 54.70, 45
2.410, 37.31, 35
1.408, 66.38, 25
1.418, 65.86, 24
1.443, 64.57, 14
1.447, 64.39, 14
1.357, 69.23, 11

```
data_LaZr2
_chemical_formula_sum 'La2 Zr4'
_cell_length_a 3.284
_cell_length_b 4.821
_cell_length_c 9.980
_cell_angle_alpha 90.00
_cell_angle_beta 90.00
_cell_angle_gamma 90.00
_symmetry_space_group_name_H-M 'I m m m'
_symmetry_Int_Tables_number 71
_symmetry_space_group_name_Hall '-I 2 2'
loop_
_atom_site_label
_atom_site_fract_x
_atom_site_fract_y
_atom_site_fract_z
_atom_site_occupancy
La1 0.000 0.000 0.000 1
Zr1 0.000 0.000 0.324 1
```

***

# 7
Structure and simulated X-ray diffraction stick pattern of Cd3RhO6 (a structure optimized by DFT (PBE); Cu Kα).
No peak broadening, texture or thermal motion is included.

Largest 10 diffraction maxima, by intensity, 2θ = 10–80°:
d_spacing, two_theta, I/Imax
2.935, 30.45, 100
2.670, 33.57, 71
2.899, 30.85, 49
3.261, 27.35, 38
3.708, 24.00, 35
1.757, 52.05, 33
2.053, 44.12, 33
1.722, 53.19, 23
2.072, 43.68, 23
1.741, 52.56, 17

```
data_Cd3RhO6
_chemical_formula_sum 'Cd18 Rh6 O36'
_cell_length_a 9.2967
_cell_length_b 9.2967
_cell_length_c 11.1236
_cell_angle_alpha 90.00
_cell_angle_beta 90.00
_cell_angle_gamma 120.00
_symmetry_space_group_name_H-M 'R -3'
_symmetry_Int_Tables_number 148
_symmetry_space_group_name_Hall '-R 3'
loop_
_atom_site_label
_atom_site_fract_x
_atom_site_fract_y
_atom_site_fract_z
_atom_site_occupancy
Cd1 0.0396 0.7744 0.2107 1
Rh1 0.0000 0.0000 0.0000 1
Rh2 0.0000 0.0000 0.5000 1
O1 0.0251 0.8460 0.8911 1
O2 0.0257 0.8333 0.4063 1
```

***

# 8
Structure and simulated X-ray diffraction stick pattern of Dy3Se3O (a structure optimized by DFT (PBE); Cu Kα).
No peak broadening, texture or thermal motion is included.

Largest 10 diffraction maxima, by intensity, 2θ = 10–80°:
d_spacing, two_theta, I/Imax
3.794, 23.45, 100
2.868, 31.19, 73
2.853, 31.35, 71
2.190, 41.21, 65
1.737, 52.68, 63
2.023, 44.81, 54
2.280, 39.52, 51
4.381, 20.27, 40
4.560, 19.46, 36
1.340, 70.25, 27

```
data_Dy3Se3O
_chemical_formula_sum 'Dy12 Se12 O4'
_cell_length_a 8.770
_cell_length_b 15.163
_cell_length_c 5.706
_cell_angle_alpha 90.00
_cell_angle_beta 90.00
_cell_angle_gamma 90.00
_symmetry_space_group_name_H-M 'C m c m'
_symmetry_Int_Tables_number 63
_symmetry_space_group_name_Hall '-C 2c 2'
loop_
_atom_site_label
_atom_site_fract_x
_atom_site_fract_y
_atom_site_fract_z
_atom_site_occupancy
Dy1 0.000 0.190 0.250 1
Dy2 0.214 0.405 0.250 1
Se1 0.000 0.181 0.750 1
Se2 0.227 0.409 0.750 1
O1 0.000 0.333 0.250 1
```

***

# 9
Structure and simulated X-ray diffraction stick pattern of Ga4S5Br2 (a structure optimized by DFT (PBE); Cu Kα).
No peak broadening, texture or thermal motion is included.

Largest 10 diffraction maxima, by intensity, 2θ = 10–80°:
d_spacing, two_theta, I/Imax
6.043, 14.66, 100
3.029, 29.49, 68
3.391, 26.28, 56
4.558, 19.47, 54
3.093, 28.87, 45
5.914, 14.98, 41
3.060, 29.18, 38
2.719, 32.94, 31
1.937, 46.91, 30
2.258, 39.92, 29

```
data_Ga4S5Br2
_chemical_formula_sum 'Ga8 S10 Br4'
_cell_length_a 12.090
_cell_length_b 6.782
_cell_length_c 7.105
_cell_angle_alpha 90.00
_cell_angle_beta 91.38
_cell_angle_gamma 90.00
_symmetry_space_group_name_H-M 'C 1 m 1'
_symmetry_Int_Tables_number 8
loop_
_symmetry_equiv_pos_as_xyz
'x,y,z'
'x,-y,z'
'x+1/2,y+1/2,z'
'x+1/2,-y+1/2,z'
loop_
_atom_site_label
_atom_site_fract_x
_atom_site_fract_y
_atom_site_fract_z
_atom_site_occupancy
Ga1 0.000 0.000 0.000 1
Ga2 0.020 0.000 0.429 1
Ga3 0.069 0.500 0.264 1
Ga4 0.225 0.500 0.638 1
S1 0.171 0.255 0.434 1
S2 0.413 0.500 0.703 1
S3 0.436 0.265 0.208 1
Br1 0.098 0.500 0.895 1
Br2 0.190 0.000 0.939 1
```

***

# 10
Structure and simulated X-ray diffraction stick pattern of Cs2RbP (a structure optimized by DFT (PBE); Cu Kα).
No peak broadening, texture or thermal motion is included.

Largest 10 diffraction maxima, by intensity, 2θ = 10–80°:
d_spacing, two_theta, I/Imax
3.636, 24.48, 100
3.966, 22.42, 90
3.321, 26.85, 68
4.193, 21.19, 68
3.407, 26.16, 62
2.564, 34.99, 48
4.453, 19.94, 35
3.779, 23.54, 34
4.016, 22.14, 32
2.642, 33.93, 32

```
data_Cs2RbP
_chemical_formula_sum 'Cs8 Rb4 P4'
_cell_length_a 11.419
_cell_length_b 8.726
_cell_length_c 10.750
_cell_angle_alpha 90.00
_cell_angle_beta 107.19
_cell_angle_gamma 90.00
_symmetry_space_group_name_H-M 'P 1 21/c 1'
_symmetry_Int_Tables_number 14
loop_
_symmetry_equiv_pos_as_xyz
'x,y,z'
'-x,-y,-z'
'-x,y+1/2,-z+1/2'
'x,-y+1/2,z+1/2'
loop_
_atom_site_label
_atom_site_fract_x
_atom_site_fract_y
_atom_site_fract_z
_atom_site_occupancy
Cs1 0.186 0.213 0.496 1
Cs2 0.231 0.669 0.382 1
Rb1 0.472 0.056 0.286 1
P1 0.455 0.113 0.969 1
```

***

# 11
Structure and simulated X-ray diffraction stick pattern of In3Hg7Bi (a structure optimized by DFT (PBE); Cu Kα).
No peak broadening, texture or thermal motion is included.

Largest 10 diffraction maxima, by intensity, 2θ = 10–80°:
d_spacing, two_theta, I/Imax
2.862, 31.25, 100
3.002, 29.76, 59
3.033, 29.45, 47
3.139, 28.44, 38
2.968, 30.11, 33
2.134, 42.35, 33
2.462, 36.49, 33
2.071, 43.72, 30
2.434, 36.93, 28
2.075, 43.63, 25

```
data_In3Hg7Bi
_chemical_formula_sum 'In6 Hg14 Bi2'
_cell_length_a 6.301
_cell_length_b 12.010
_cell_length_c 8.909
_cell_angle_alpha 90.00
_cell_angle_beta 105.64
_cell_angle_gamma 90.00
_symmetry_space_group_name_H-M 'C 1 m 1'
_symmetry_Int_Tables_number 8
loop_
_symmetry_equiv_pos_as_xyz
'x,y,z'
'x,-y,z'
'x+1/2,y+1/2,z'
'x+1/2,-y+1/2,z'
loop_
_atom_site_label
_atom_site_fract_x
_atom_site_fract_y
_atom_site_fract_z
_atom_site_occupancy
In1 0.000 0.000 0.000 1
In2 0.469 0.247 0.629 1
Hg1 0.121 0.326 0.334 1
Hg2 0.159 0.000 0.348 1
Hg3 0.459 0.256 0.977 1
Hg4 0.462 0.500 0.637 1
Hg5 0.481 0.000 0.688 1
Bi1 0.020 0.500 0.056 1
```